[1]
Starting from a cell relaxed with GGA-PBE, the XRD peak list of Ba12LiAu5 was simulated for Cu Kα (λ = 1.5418 Å).
Kinematic intensities with the Lorentz-polarization factor, no thermal factor.

Cell and atoms:
```
data_Ba12LiAu5
_cell_length_a 11.024
_cell_length_b 11.742
_cell_length_c 12.315
_cell_angle_alpha 90.00
_cell_angle_beta 90.00
_cell_angle_gamma 90.00
_symmetry_space_group_name_H-M 'I m m m'
_symmetry_Int_Tables_number 71
_symmetry_space_group_name_Hall '-I 2 2'
loop_
_atom_site_label
_atom_site_fract_x
_atom_site_fract_y
_atom_site_fract_z
_atom_site_occupancy
Ba1 0.000 0.184 0.218 1
Ba2 0.187 0.500 0.168 1
Ba3 0.212 0.326 0.500 1
Li1 0.000 0.000 0.500 1
Au1 0.000 0.000 0.000 1
Au2 0.000 0.347 0.000 1
Au3 0.000 0.500 0.377 1
```

Main lines, in order of falling intensity (2θ from 10° to 90°):
| d (Å) | intensity | (hkl) |
| --- | --- | --- |
| 3.166 | 100 | 1 3 2 |
| 3.089 | 70 | 2 3 1 |
| 8.037 | 34 | 1 1 0 |
| 3.365 | 33 | 2 2 2 |
| 2.738 | 25 | 3 0 3 |
| 8.214 | 25 | 1 0 1 |

=====

[2]
Starting from a cell relaxed with GGA-PBE, the XRD peak list of Pb7Br was simulated for Cu Kα (λ = 1.5418 Å).
Kinematic intensities with the Lorentz-polarization factor, no thermal factor.

Cell and atoms:
```
data_Pb7Br
_cell_length_a 10.012
_cell_length_b 10.012
_cell_length_c 10.012
_cell_angle_alpha 90.00
_cell_angle_beta 90.00
_cell_angle_gamma 90.00
_symmetry_space_group_name_H-M 'F m -3 m'
_symmetry_Int_Tables_number 225
_symmetry_space_group_name_Hall '-F 4 2 3'
loop_
_atom_site_label
_atom_site_fract_x
_atom_site_fract_y
_atom_site_fract_z
_atom_site_occupancy
Pb1 0.000 0.000 0.000 1
Pb2 0.000 0.250 0.250 1
Br1 0.000 0.000 0.500 1
```

Main lines, in order of falling intensity (2θ from 10° to 90°):
| d (Å) | intensity | (hkl) |
| --- | --- | --- |
| 2.890 | 100 | 2 2 2 |
| 2.503 | 51 | 4 0 0 |
| 1.509 | 44 | 6 2 2 |
| 1.770 | 37 | 4 4 0 |
| 1.148 | 19 | 6 6 2 |
| 1.119 | 18 | 8 4 0 |

=====

[3]
Starting from a cell relaxed with GGA-PBE, the XRD peak list of Mg6Si5 was simulated for Cu Kα (λ = 1.5418 Å).
Kinematic intensities with the Lorentz-polarization factor, no thermal factor.

Cell and atoms:
```
data_Mg6Si5
_cell_length_a 5.301
_cell_length_b 6.906
_cell_length_c 11.605
_cell_angle_alpha 87.02
_cell_angle_beta 89.63
_cell_angle_gamma 82.07
_symmetry_space_group_name_H-M 'P 1'
_symmetry_Int_Tables_number 1
_symmetry_space_group_name_Hall 'P 1'
loop_
_atom_site_label
_atom_site_fract_x
_atom_site_fract_y
_atom_site_fract_z
_atom_site_occupancy
Mg1 0.000 0.000 0.000 1
Mg2 0.003 0.173 0.238 1
Mg3 0.076 0.615 0.838 1
Mg4 0.108 0.642 0.166 1
Mg5 0.285 0.330 0.622 1
Mg6 0.410 0.255 0.047 1
Mg7 0.457 0.829 0.667 1
Mg8 0.550 0.771 0.959 1
Mg9 0.578 0.601 0.429 1
Mg10 0.590 0.905 0.231 1
Mg11 0.804 0.142 0.489 1
Mg12 0.883 0.066 0.750 1
Si1 0.033 0.790 0.390 1
Si2 0.132 0.427 0.402 1
Si3 0.328 0.013 0.445 1
Si4 0.367 0.111 0.832 1
Si5 0.482 0.274 0.290 1
Si6 0.567 0.423 0.832 1
Si7 0.624 0.541 0.162 1
Si8 0.770 0.449 0.647 1
Si9 0.874 0.395 0.007 1
Si10 0.976 0.750 0.604 1
```

Main lines, in order of falling intensity (2θ from 10° to 90°):
| d (Å) | intensity | (hkl) |
| --- | --- | --- |
| 2.497 | 100 | 0 2 -3 |
| 2.619 | 79 | 0 1 -4 |
| 2.572 | 76 | 2 1 0 |
| 2.159 | 62 | 2 -1 2 |
| 2.653 | 56 | -1 2 1 |
| 2.256 | 51 | -1 2 3 |

=====

[4]
Starting from a cell relaxed with GGA-PBE, the XRD peak list of Cs3Zn2Se4 was simulated for Cu Kα (λ = 1.5418 Å).
Kinematic intensities with the Lorentz-polarization factor, no thermal factor.

Cell and atoms:
```
data_Cs3Zn2Se4
_cell_length_a 17.074
_cell_length_b 11.878
_cell_length_c 6.877
_cell_angle_alpha 90.00
_cell_angle_beta 93.54
_cell_angle_gamma 90.00
_symmetry_space_group_name_H-M 'C 1 2/c 1'
_symmetry_Int_Tables_number 15
_symmetry_space_group_name_Hall '-C 2yc'
loop_
_atom_site_label
_atom_site_fract_x
_atom_site_fract_y
_atom_site_fract_z
_atom_site_occupancy
Cs1 0.000 0.133 0.250 1
Cs2 0.154 0.376 0.540 1
Zn1 0.213 0.133 0.961 1
Se1 0.146 0.312 0.032 1
Se2 0.163 0.033 0.637 1
```

Main lines, in order of falling intensity (2θ from 10° to 90°):
| d (Å) | intensity | (hkl) |
| --- | --- | --- |
| 3.248 | 100 | 3 3 0 |
| 8.521 | 89 | 2 0 0 |
| 3.117 | 82 | 2 0 2 |
| 2.974 | 80 | 0 4 0 |
| 3.908 | 72 | 2 2 1 |
| 2.582 | 72 | 1 3 -2 |

=====

[5]
Starting from a cell relaxed with GGA-PBE, the XRD peak list of CsHo2Se3 was simulated for Cu Kα (λ = 1.5418 Å).
Kinematic intensities with the Lorentz-polarization factor, no thermal factor.

Cell and atoms:
```
data_CsHo2Se3
_cell_length_a 7.760
_cell_length_b 4.143
_cell_length_c 11.170
_cell_angle_alpha 90.00
_cell_angle_beta 103.63
_cell_angle_gamma 90.00
_symmetry_space_group_name_H-M 'P 1 21/m 1'
_symmetry_Int_Tables_number 11
_symmetry_space_group_name_Hall '-P 2yb'
loop_
_atom_site_label
_atom_site_fract_x
_atom_site_fract_y
_atom_site_fract_z
_atom_site_occupancy
Cs1 0.028 0.250 0.343 1
Ho1 0.262 0.250 0.994 1
Ho2 0.499 0.750 0.315 1
Se1 0.151 0.750 0.134 1
Se2 0.331 0.750 0.526 1
Se3 0.392 0.750 0.848 1
```

Main lines, in order of falling intensity (2θ from 10° to 90°):
| d (Å) | intensity | (hkl) |
| --- | --- | --- |
| 3.330 | 100 | 2 0 1 |
| 3.190 | 93 | 1 1 -2 |
| 2.722 | 62 | 1 1 -3 |
| 2.194 | 59 | 3 1 -1 |
| 2.064 | 38 | 1 1 4 |
| 2.803 | 34 | 2 0 2 |

=====

[6]
Starting from a cell relaxed with GGA-PBE, the XRD peak list of NpAgF5 was simulated for Cu Kα (λ = 1.5418 Å).
Kinematic intensities with the Lorentz-polarization factor, no thermal factor.

Cell and atoms:
```
data_NpAgF5
_cell_length_a 5.945
_cell_length_b 11.506
_cell_length_c 8.923
_cell_angle_alpha 90.00
_cell_angle_beta 109.33
_cell_angle_gamma 90.00
_symmetry_space_group_name_H-M 'P 1 21/c 1'
_symmetry_Int_Tables_number 14
_symmetry_space_group_name_Hall '-P 2ybc'
loop_
_atom_site_label
_atom_site_fract_x
_atom_site_fract_y
_atom_site_fract_z
_atom_site_occupancy
Np1 0.091 0.243 0.376 1
Ag1 0.497 0.000 0.223 1
F1 0.104 0.212 0.630 1
F2 0.140 0.599 0.209 1
F3 0.210 0.645 0.666 1
F4 0.328 0.114 0.966 1
F5 0.384 0.129 0.406 1
```

Main lines, in order of falling intensity (2θ from 10° to 90°):
| d (Å) | intensity | (hkl) |
| --- | --- | --- |
| 4.017 | 100 | 1 2 0 |
| 3.954 | 59 | 0 1 2 |
| 3.843 | 37 | 1 1 -2 |
| 5.043 | 30 | 1 1 0 |
| 2.006 | 30 | 2 4 -2 |
| 3.326 | 28 | 1 2 -2 |